# 1
Ca3LaPr3Te8: calculated PXRD pattern (Cu Kα, 1.54184 Å), based on DFT lattice parameters and positions (PBE).
Kinematic intensities with the Lorentz-polarization factor, no thermal factor.

Cell and atoms:
abc: 9.0139 9.0139 22.2721
angles: 90.00 90.00 120.00
Space group R-3m (No. 166, hexagonal axes)
Unique sites:
1 Ca 0.0000 0.5000 0.0000 (multiplicity 9)
2 La 0.0000 0.0000 0.5000 (multiplicity 3)
3 Pr 0.0000 0.5000 0.5000 (multiplicity 9)
4 Te 0.0000 0.0000 0.2520 (multiplicity 6)
5 Te 0.0042 0.5021 0.7480 (multiplicity 18)

The 10 most intense peaks (10 to 90 degrees two-theta), most intense first:
27.9 deg, intensity 100.0; 39.8 deg, intensity 38.2; 40.0 deg, intensity 37.7; 49.5 deg, intensity 20.2; 65.1 deg, intensity 17.3; 65.4 deg, intensity 17.2; 11.9 deg, intensity 12.9; 57.7 deg, intensity 12.6; 72.5 deg, intensity 12.6; 23.1 deg, intensity 11.1

=====

# 2
NaLi4Pu3O12: calculated PXRD pattern (Cu Kα, 1.54184 Å), based on DFT lattice parameters and positions (PBE).
Kinematic intensities with the Lorentz-polarization factor, no thermal factor.

Cell and atoms:
abc: 11.3573 11.3573 7.9702
angles: 90.00 90.00 120.00
Space group R32 (No. 155, hexagonal axes)
Unique sites:
1 Na 0.0000 0.0000 0.0000 (multiplicity 3)
2 Li 0.0000 0.0000 0.5000 (multiplicity 3)
3 Li 0.0000 0.4362 0.5000 (multiplicity 9)
4 Pu 0.0000 0.5602 0.0000 (multiplicity 9)
5 O 0.0000 0.6070 0.5000 (multiplicity 9)
6 O 0.0000 0.8339 0.5000 (multiplicity 9)
7 O 0.0676 0.2380 0.1919 (multiplicity 18)

The 10 most intense peaks (10 to 90 degrees two-theta), most intense first:
15.6 deg, intensity 100.0; 21.2 deg, intensity 90.8; 40.1 deg, intensity 51.5; 28.8 deg, intensity 49.3; 26.5 deg, intensity 36.6; 34.8 deg, intensity 36.4; 14.3 deg, intensity 23.7; 37.4 deg, intensity 18.7; 57.3 deg, intensity 17.7; 53.1 deg, intensity 17.7

=====

# 3
K3Ba4: calculated PXRD pattern (Cu Kα, 1.54184 Å), based on DFT lattice parameters and positions (PBE).
Kinematic intensities with the Lorentz-polarization factor, no thermal factor.

Cell and atoms:
abc: 7.9105 7.9105 8.5525
angles: 90.00 90.00 120.00
Space group P6/mmm (No. 191)
Unique sites:
1 K 0.0000 0.5000 0.0000 (multiplicity 3)
2 Ba 0.0000 0.0000 0.2639 (multiplicity 2)
3 Ba 0.3333 0.6667 0.5000 (multiplicity 2)

The 10 most intense peaks (10 to 90 degrees two-theta), most intense first:
24.5 deg, intensity 100.0; 22.5 deg, intensity 77.3; 24.8 deg, intensity 56.0; 40.7 deg, intensity 51.2; 52.7 deg, intensity 23.8; 28.1 deg, intensity 20.8; 45.9 deg, intensity 20.2; 48.4 deg, intensity 18.6; 39.5 deg, intensity 17.9; 33.5 deg, intensity 17.2

=====

# 4
NaSnSb2: calculated PXRD pattern (Cu Kα, 1.54184 Å), based on DFT lattice parameters and positions (PBE).
Kinematic intensities with the Lorentz-polarization factor, no thermal factor.

Cell and atoms:
abc: 4.268 4.268 6.376
angles: 90.00 90.00 90.00
Space group P4/mmm (No. 123)
Unique sites:
1 Na 0.000 0.000 0.000 (multiplicity 1)
2 Sn 0.000 0.000 0.500 (multiplicity 1)
3 Sb 0.500 0.500 0.274 (multiplicity 2)

The 10 most intense peaks (10 to 90 degrees two-theta), most intense first:
35.1 deg, intensity 100.0; 29.6 deg, intensity 83.5; 56.2 deg, intensity 51.3; 42.4 deg, intensity 31.5; 13.9 deg, intensity 29.0; 32.8 deg, intensity 15.1; 88.0 deg, intensity 15.0; 69.7 deg, intensity 14.2; 66.3 deg, intensity 13.0; 20.8 deg, intensity 12.7

=====

# 5
K3Na7Pb2: calculated PXRD pattern (Cu Kα, 1.54184 Å), based on DFT lattice parameters and positions (PBE).
Kinematic intensities with the Lorentz-polarization factor, no thermal factor.

Cell and atoms:
abc: 6.051 29.471 6.029
angles: 90.00 90.00 90.00
Space group Cmmm (No. 65)
Unique sites:
1 K 0.000 0.000 0.000 (multiplicity 2)
2 K 0.000 0.177 0.000 (multiplicity 4)
3 Na 0.000 0.091 0.500 (multiplicity 4)
4 Na 0.000 0.288 0.500 (multiplicity 4)
5 Na 0.000 0.410 0.000 (multiplicity 4)
6 Na 0.000 0.500 0.500 (multiplicity 2)
7 Pb 0.000 0.393 0.500 (multiplicity 4)

The 10 most intense peaks (10 to 90 degrees two-theta), most intense first:
21.0 deg, intensity 100.0; 12.0 deg, intensity 50.9; 14.9 deg, intensity 36.8; 19.0 deg, intensity 32.5; 14.7 deg, intensity 31.9; 29.5 deg, intensity 25.4; 29.6 deg, intensity 25.2; 34.5 deg, intensity 24.8; 23.4 deg, intensity 22.7; 31.1 deg, intensity 21.7

=====

# 6
Na8SiS6: calculated PXRD pattern (Cu Kα, 1.54184 Å), based on DFT lattice parameters and positions (PBE).
Kinematic intensities with the Lorentz-polarization factor, no thermal factor.

Cell and atoms:
abc: 8.400 7.617 10.863
angles: 90.00 90.00 90.00
Space group Pmn2_1 (No. 31)
Unique sites:
1 Na 0.000 0.136 0.000 (multiplicity 2)
2 Na 0.000 0.190 0.504 (multiplicity 2)
3 Na 0.174 0.506 0.138 (multiplicity 4)
4 Na 0.184 0.672 0.848 (multiplicity 4)
5 Na 0.193 0.936 0.228 (multiplicity 4)
6 Si 0.000 0.701 0.539 (multiplicity 2)
7 S 0.000 0.236 0.259 (multiplicity 2)
8 S 0.000 0.476 0.662 (multiplicity 2)
9 S 0.000 0.778 0.045 (multiplicity 2)
10 S 0.000 0.921 0.666 (multiplicity 2)
11 S 0.211 0.693 0.427 (multiplicity 4)

The 10 most intense peaks (10 to 90 degrees two-theta), most intense first:
28.6 deg, intensity 100.0; 40.8 deg, intensity 72.6; 26.8 deg, intensity 70.4; 40.7 deg, intensity 58.8; 46.4 deg, intensity 40.4; 30.6 deg, intensity 38.9; 35.1 deg, intensity 38.6; 43.0 deg, intensity 35.1; 25.6 deg, intensity 35.0; 34.1 deg, intensity 34.4

=====

# 7
RbCaGe2: calculated PXRD pattern (Cu Kα, 1.54184 Å), based on DFT lattice parameters and positions (PBE).
Kinematic intensities with the Lorentz-polarization factor, no thermal factor.

Cell and atoms:
abc: 5.401 5.401 20.721
angles: 90.00 90.00 90.00
Space group I4_1/amd (No. 141, origin choice 2)
Unique sites:
1 Rb 0.000 0.250 0.375 (multiplicity 4)
2 Ca 0.000 0.250 0.875 (multiplicity 4)
3 Ge 0.000 0.000 0.000 (multiplicity 8)

The 10 most intense peaks (10 to 90 degrees two-theta), most intense first:
20.9 deg, intensity 100.0; 24.8 deg, intensity 99.0; 37.5 deg, intensity 77.2; 51.0 deg, intensity 63.2; 34.3 deg, intensity 57.3; 27.1 deg, intensity 52.9; 34.6 deg, intensity 52.8; 35.0 deg, intensity 39.4; 48.7 deg, intensity 36.1; 42.5 deg, intensity 31.4

=====

# 8
Pm3GeI: calculated PXRD pattern (Cu Kα, 1.54184 Å), based on DFT lattice parameters and positions (PBE).
Kinematic intensities with the Lorentz-polarization factor, no thermal factor.

Cell and atoms:
abc: 4.189 9.315 8.306
angles: 90.00 90.00 90.00
Space group Pmmn (No. 59, origin choice 2)
Unique sites:
1 Pm 0.250 0.058 0.160 (multiplicity 4)
2 Pm 0.250 0.250 0.749 (multiplicity 2)
3 Ge 0.250 0.750 0.012 (multiplicity 2)
4 I 0.250 0.750 0.565 (multiplicity 2)

The 10 most intense peaks (10 to 90 degrees two-theta), most intense first:
30.7 deg, intensity 100.0; 31.8 deg, intensity 58.0; 30.3 deg, intensity 36.6; 43.2 deg, intensity 20.8; 10.7 deg, intensity 20.3; 36.0 deg, intensity 19.6; 36.1 deg, intensity 18.8; 53.9 deg, intensity 15.3; 21.9 deg, intensity 15.3; 58.6 deg, intensity 14.9

=====

- What is the formula in the second record?
  NaLi4Pu3O12

=====

Please write out number 8 again, unchanged.
Pm3GeI: calculated PXRD pattern (Cu Kα, 1.54184 Å), based on DFT lattice parameters and positions (PBE).
Kinematic intensities with the Lorentz-polarization factor, no thermal factor.

Cell and atoms:
abc: 4.189 9.315 8.306
angles: 90.00 90.00 90.00
Space group Pmmn (No. 59, origin choice 2)
Unique sites:
1 Pm 0.250 0.058 0.160 (multiplicity 4)
2 Pm 0.250 0.250 0.749 (multiplicity 2)
3 Ge 0.250 0.750 0.012 (multiplicity 2)
4 I 0.250 0.750 0.565 (multiplicity 2)

The 10 most intense peaks (10 to 90 degrees two-theta), most intense first:
30.7 deg, intensity 100.0; 31.8 deg, intensity 58.0; 30.3 deg, intensity 36.6; 43.2 deg, intensity 20.8; 10.7 deg, intensity 20.3; 36.0 deg, intensity 19.6; 36.1 deg, intensity 18.8; 53.9 deg, intensity 15.3; 21.9 deg, intensity 15.3; 58.6 deg, intensity 14.9